[1]
Computed powder diffraction line list of NaReOsO6 for Cu Kα X-rays, from a structure optimized by DFT (GGA-PBE).

Structure:
a = 5.3179 Å, b = 5.3179 Å, c = 5.0572 Å
α = 90.00°, β = 90.00°, γ = 120.00°
Space group P312 (No. 149)
Inequivalent atoms, fractional coordinates:
Na: 0.0000 0.0000 0.0000 x1
Re: 0.3333 0.6667 0.5000 x1
Os: 0.6667 0.3333 0.5000 x1
O: 0.0070 0.3842 0.7039 x6

Largest 10 diffraction maxima, low angle first, 2θ = 10–80°:
| 2theta | Rel. int. | index |
| --- | --- | --- |
| 17.54 | 100 | 0 0 1 |
| 19.27 | 53 | 1 0 0 |
| 26.17 | 76 | 1 0 1 |
| 33.71 | 52 | 1 1 0 |
| 38.24 | 71 | 2 -1 1 |
| 43.17 | 17 | 2 0 1 |
| 49.76 | 53 | 2 -1 2 |
| 55.86 | 18 | 3 -1 1 |
| 63.31 | 19 | 3 0 1 |
| 65.57 | 18 | 1 1 3 |

***

[2]
Computed powder diffraction line list of Na5Tl2Pt for Cu Kα X-rays, from a structure optimized by DFT (GGA-PBE).

Structure:
a = 7.195 Å, b = 14.603 Å, c = 4.026 Å
α = 90.00°, β = 90.00°, γ = 90.00°
Space group Pbam (No. 55)
Inequivalent atoms, fractional coordinates:
Na: 0.000 0.000 0.000 x2
Na: 0.031 0.246 0.000 x4
Na: 0.236 0.389 0.500 x4
Tl: 0.198 0.606 0.500 x4
Pt: 0.000 0.500 0.000 x2

Largest 10 diffraction maxima, low angle first, 2θ = 10–80°:
| 2theta | Rel. int. | index |
| --- | --- | --- |
| 12.12 | 67 | 0 2 0 |
| 13.72 | 100 | 1 1 0 |
| 17.30 | 83 | 1 2 0 |
| 28.19 | 52 | 1 2 1 |
| 33.12 | 76 | 0 4 1 |
| 33.40 | 66 | 2 0 1 |
| 35.02 | 51 | 2 4 0 |
| 44.40 | 30 | 3 1 1 |
| 45.01 | 31 | 0 0 2 |
| 58.29 | 26 | 2 4 2 |

***

[3]
Computed powder diffraction line list of HoAgHgF6 for Cu Kα X-rays, from a structure optimized by DFT (GGA-PBE).

Structure:
a = 5.362 Å, b = 5.362 Å, c = 11.012 Å
α = 90.00°, β = 90.00°, γ = 90.00°
Space group P4_2nm (No. 102)
Inequivalent atoms, fractional coordinates:
Ho: 0.000 0.000 0.000 x2
Ag: 0.000 0.000 0.666 x2
Hg: 0.000 0.000 0.334 x2
F: 0.182 0.182 0.156 x4
F: 0.198 0.198 0.855 x4
F: 0.213 0.213 0.490 x4

Largest 10 diffraction maxima, low angle first, 2θ = 10–80°:
| 2theta | Rel. int. | index |
| --- | --- | --- |
| 23.46 | 100 | 1 1 0 |
| 29.49 | 91 | 1 0 3 |
| 33.42 | 25 | 2 0 0 |
| 45.17 | 75 | 2 1 3 |
| 47.99 | 18 | 2 2 0 |
| 54.09 | 17 | 3 1 0 |
| 55.64 | 19 | 1 1 6 |
| 57.34 | 22 | 3 0 3 |
| 68.02 | 16 | 3 2 3 |
| 77.94 | 13 | 4 1 3 |

***

[4]
Computed powder diffraction line list of V6IrC for Cu Kα X-rays, from a structure optimized by DFT (GGA-PBE).

Structure:
a = 4.394 Å, b = 4.986 Å, c = 5.034 Å
α = 96.60°, β = 111.16°, γ = 91.20°
Space group P-1 (No. 2)
Inequivalent atoms, fractional coordinates:
V: 0.063 0.293 0.151 x2
V: 0.199 0.850 0.431 x2
V: 0.422 0.410 0.745 x2
Ir: 0.500 0.000 0.000 x1
C: 0.000 0.500 0.500 x1

Largest 10 diffraction maxima, low angle first, 2θ = 10–80°:
| 2theta | Rel. int. | index |
| --- | --- | --- |
| 17.95 | 26 | 0 1 0 |
| 19.07 | 30 | 0 0 1 |
| 21.74 | 22 | 1 0 0 |
| 23.11 | 21 | 1 0 -1 |
| 40.66 | 100 | 1 1 1 |
| 41.23 | 46 | 2 0 -1 |
| 41.41 | 46 | 1 -2 0 |
| 42.58 | 49 | 1 2 -1 |
| 42.87 | 48 | -1 1 2 |
| 62.20 | 17 | 0 3 1 |

***

[5]
Computed powder diffraction line list of Mg2TaBeN4 for Cu Kα X-rays, from a structure optimized by DFT (GGA-PBE).

Structure:
a = 6.757 Å, b = 6.059 Å, c = 4.447 Å
α = 90.00°, β = 90.00°, γ = 90.00°
Space group Pmn2_1 (No. 31)
Inequivalent atoms, fractional coordinates:
Mg: 0.247 0.158 0.000 x4
Ta: 0.000 0.646 0.015 x2
Be: 0.000 0.331 0.544 x2
N: 0.000 0.336 0.940 x2
N: 0.000 0.631 0.473 x2
N: 0.240 0.193 0.485 x4

Largest 10 diffraction maxima, low angle first, 2θ = 10–80°:
| 2theta | Rel. int. | index |
| --- | --- | --- |
| 14.62 | 44 | 0 1 0 |
| 19.68 | 95 | 1 1 0 |
| 23.96 | 100 | 1 0 1 |
| 28.18 | 48 | 1 1 1 |
| 30.29 | 54 | 2 1 0 |
| 32.38 | 47 | 1 2 0 |
| 35.87 | 42 | 0 2 1 |
| 36.55 | 51 | 2 1 1 |
| 51.48 | 45 | 1 3 1 |
| 52.82 | 53 | 2 3 0 |

***

[6]
Computed powder diffraction line list of LiEr2InSe4 for Cu Kα X-rays, from a structure optimized by DFT (GGA-PBE).

Structure:
a = 4.128 Å, b = 13.825 Å, c = 14.587 Å
α = 90.00°, β = 90.00°, γ = 90.00°
Space group Cmcm (No. 63)
Inequivalent atoms, fractional coordinates:
Li: 0.000 0.171 0.250 x4
Er: 0.000 0.366 0.562 x8
In: 0.000 0.103 0.750 x4
Se: 0.000 0.000 0.000 x4
Se: 0.000 0.266 0.107 x8
Se: 0.000 0.430 0.750 x4

Largest 10 diffraction maxima, low angle first, 2θ = 10–80°:
| 2theta | Rel. int. | index |
| --- | --- | --- |
| 12.14 | 35 | 0 0 2 |
| 22.36 | 82 | 0 2 3 |
| 27.66 | 44 | 0 2 4 |
| 29.04 | 46 | 1 3 0 |
| 29.69 | 100 | 1 3 1 |
| 31.58 | 84 | 1 3 2 |
| 38.34 | 54 | 1 1 5 |
| 43.46 | 33 | 0 6 3 |
| 43.57 | 57 | 1 5 3 |
| 43.86 | 41 | 2 0 0 |

***

[7]
Computed powder diffraction line list of Ac2C2S for Cu Kα X-rays, from a structure optimized by DFT (GGA-PBE).

Structure:
a = 14.673 Å, b = 4.374 Å, c = 7.361 Å
α = 90.00°, β = 102.82°, γ = 90.00°
Space group C2/c (No. 15)
Inequivalent atoms, fractional coordinates:
Ac: 0.133 0.209 0.142 x8
C: 0.226 0.358 0.529 x8
S: 0.000 0.286 0.750 x4

Largest 10 diffraction maxima, low angle first, 2θ = 10–80°:
| 2theta | Rel. int. | index |
| --- | --- | --- |
| 24.89 | 48 | 4 0 0 |
| 25.17 | 45 | 2 0 -2 |
| 25.33 | 81 | 1 1 1 |
| 28.60 | 100 | 3 1 -1 |
| 30.24 | 44 | 2 0 2 |
| 40.51 | 20 | 6 0 -2 |
| 41.93 | 32 | 5 1 1 |
| 42.28 | 33 | 1 1 -3 |
| 48.54 | 17 | 5 1 -3 |
| 52.02 | 17 | 2 2 2 |

***

[8]
Computed powder diffraction line list of Nb2Bi2PbO9 for Cu Kα X-rays, from a structure optimized by DFT (GGA-PBE).

Structure:
a = 3.964 Å, b = 3.964 Å, c = 25.133 Å
α = 90.00°, β = 90.00°, γ = 90.00°
Space group I4/mmm (No. 139)
Inequivalent atoms, fractional coordinates:
Nb: 0.000 0.000 0.088 x4
Bi: 0.000 0.000 0.299 x4
Pb: 0.000 0.000 0.500 x2
O: 0.000 0.000 0.000 x2
O: 0.000 0.000 0.163 x4
O: 0.000 0.500 0.080 x8
O: 0.000 0.500 0.250 x4

Largest 10 diffraction maxima, low angle first, 2θ = 10–80°:
| 2theta | Rel. int. | index |
| --- | --- | --- |
| 14.10 | 11 | 0 0 4 |
| 28.68 | 100 | 1 0 5 |
| 31.93 | 37 | 1 1 0 |
| 35.72 | 13 | 0 0 10 |
| 45.78 | 22 | 2 0 0 |
| 48.66 | 24 | 1 1 10 |
| 54.92 | 34 | 2 1 5 |
| 59.39 | 12 | 2 0 10 |
| 59.94 | 11 | 1 0 15 |
| 78.56 | 10 | 2 1 15 |

***

[9]
Computed powder diffraction line list of Ca4Zn3Rh for Cu Kα X-rays, from a structure optimized by DFT (GGA-PBE).

Structure:
a = 4.170 Å, b = 4.393 Å, c = 11.084 Å
α = 90.00°, β = 90.00°, γ = 90.00°
Space group Pmm2 (No. 25)
Inequivalent atoms, fractional coordinates:
Ca: 0.000 0.000 0.000 x1
Ca: 0.000 0.500 0.269 x1
Ca: 0.500 0.000 0.468 x1
Ca: 0.500 0.500 0.775 x1
Zn: 0.000 0.000 0.692 x1
Zn: 0.000 0.500 0.564 x1
Zn: 0.500 0.500 0.070 x1
Rh: 0.500 0.000 0.189 x1

Largest 10 diffraction maxima, low angle first, 2θ = 10–80°:
| 2theta | Rel. int. | index |
| --- | --- | --- |
| 15.99 | 39 | 0 0 2 |
| 22.78 | 34 | 1 0 1 |
| 30.64 | 59 | 1 1 1 |
| 32.37 | 34 | 1 0 3 |
| 38.44 | 100 | 0 1 4 |
| 41.09 | 24 | 0 2 0 |
| 43.40 | 20 | 2 0 0 |
| 53.25 | 15 | 1 2 3 |
| 59.32 | 20 | 2 1 4 |
| 73.11 | 14 | 0 3 4 |

***

[10]
Computed powder diffraction line list of Cs3CoBr for Cu Kα X-rays, from a structure optimized by DFT (GGA-PBE).

Structure:
a = 6.387 Å, b = 6.387 Å, c = 6.387 Å
α = 90.00°, β = 90.00°, γ = 90.00°
Space group Pm-3m (No. 221)
Inequivalent atoms, fractional coordinates:
Cs: 0.000 0.000 0.500 x3
Co: 0.000 0.000 0.000 x1
Br: 0.500 0.500 0.500 x1

Largest 10 diffraction maxima, low angle first, 2θ = 10–80°:
| 2theta | Rel. int. | index |
| --- | --- | --- |
| 13.86 | 20 | 1 0 0 |
| 24.13 | 100 | 1 1 1 |
| 27.94 | 88 | 2 0 0 |
| 39.92 | 66 | 2 2 0 |
| 47.19 | 48 | 3 1 1 |
| 49.43 | 24 | 2 2 2 |
| 63.48 | 20 | 3 3 1 |
| 65.33 | 31 | 4 2 0 |
| 72.49 | 23 | 4 2 2 |
| 77.68 | 15 | 5 1 1 |

***

[11]
Computed powder diffraction line list of Re4Os5 for Cu Kα X-rays, from a structure optimized by DFT (GGA-PBE).

Structure:
a = 8.243 Å, b = 8.243 Å, c = 3.874 Å
α = 90.00°, β = 90.00°, γ = 90.00°
Space group I4/mmm (No. 139)
Inequivalent atoms, fractional coordinates:
Re: 0.000 0.332 0.000 x8
Os: 0.000 0.000 0.000 x2
Os: 0.166 0.166 0.500 x8

Largest 5 diffraction maxima, low angle first, 2θ = 10–80°:
| 2theta | Rel. int. | index |
| --- | --- | --- |
| 40.24 | 100 | 3 0 1 |
| 46.75 | 33 | 3 3 0 |
| 46.91 | 16 | 0 0 2 |
| 68.27 | 11 | 6 0 0 |
| 68.39 | 21 | 3 3 2 |

***

[12]
Computed powder diffraction line list of Ac2GaPt3 for Cu Kα X-rays, from a structure optimized by DFT (GGA-PBE).

Structure:
a = 4.250 Å, b = 4.293 Å, c = 16.401 Å
α = 90.00°, β = 90.00°, γ = 90.00°
Space group Imm2 (No. 44)
Inequivalent atoms, fractional coordinates:
Ac: 0.000 0.000 0.000 x2
Ac: 0.000 0.500 0.236 x2
Ga: 0.000 0.000 0.406 x2
Pt: 0.000 0.000 0.559 x2
Pt: 0.000 0.500 0.662 x2
Pt: 0.000 0.500 0.828 x2

Largest 10 diffraction maxima, low angle first, 2θ = 10–80°:
| 2theta | Rel. int. | index |
| --- | --- | --- |
| 26.56 | 12 | 1 0 3 |
| 31.57 | 100 | 1 1 2 |
| 34.41 | 33 | 0 1 5 |
| 34.54 | 22 | 1 0 5 |
| 42.10 | 21 | 0 2 0 |
| 42.54 | 21 | 2 0 0 |
| 44.03 | 17 | 0 1 7 |
| 44.14 | 16 | 1 0 7 |
| 55.81 | 17 | 2 1 5 |
| 61.39 | 14 | 2 2 0 |